Record 1
Simulated powder diffractogram
Compound: La4NdAs5
Radiation: Cu Ka
Structure: a cell relaxed with GGA-PBE
No peak broadening, texture or thermal motion is included.

The 10 most intense peaks (10° ≤ 2θ ≤ 90°), most intense first:
3.080 Å, 2θ = 28.99°, intensity 100.0; 2.178 Å, 2θ = 41.46°, intensity 75.5; 1.377 Å, 2θ = 68.07°, intensity 34.3; 1.778 Å, 2θ = 51.39°, intensity 26.8; 1.257 Å, 2θ = 75.63°, intensity 25.3; 3.556 Å, 2θ = 25.04°, intensity 15.1; 1.540 Å, 2θ = 60.08°, intensity 12.5; 1.857 Å, 2θ = 49.05°, intensity 7.5; 1.413 Å, 2θ = 66.12°, intensity 3.1; 1.185 Å, 2θ = 81.13°, intensity 2.3

Atomic structure:
Cell: 7.544 7.544 7.544 Å, 99.59 99.59 131.82°
Fractional positions:
La1 0.100 0.300 0.399
La2 0.300 0.900 0.200
La3 0.700 0.100 0.800
La4 0.900 0.700 0.601
Nd1 0.500 0.500 0.000
As1 0.000 0.000 0.000
As2 0.202 0.599 0.801
As3 0.401 0.202 0.603
As4 0.599 0.798 0.397
As5 0.798 0.401 0.199

=====

Record 2
Simulated powder diffractogram
Compound: Na3SeO6
Radiation: Cu Ka
Structure: a cell relaxed with GGA-PBE
No peak broadening, texture or thermal motion is included.

The 10 most intense peaks (10° ≤ 2θ ≤ 90°), most intense first:
4.416 Å, 2θ = 20.11°, intensity 100.0; 2.689 Å, 2θ = 33.32°, intensity 48.1; 2.872 Å, 2θ = 31.14°, intensity 42.1; 4.974 Å, 2θ = 17.83°, intensity 34.1; 1.963 Å, 2θ = 46.25°, intensity 31.5; 1.621 Å, 2θ = 56.81°, intensity 30.1; 3.452 Å, 2θ = 25.81°, intensity 28.6; 1.840 Å, 2θ = 49.53°, intensity 19.9; 1.658 Å, 2θ = 55.41°, intensity 18.2; 1.750 Å, 2θ = 52.26°, intensity 12.8

Atomic structure:
Cell: 5.744 5.744 9.590 Å, 90.00 90.00 120.00°
Fractional positions:
Na1 0.000 0.000 0.000
Na2 0.000 0.000 0.500
Na3 0.333 0.667 0.080
Na4 0.333 0.667 0.420
Na5 0.667 0.333 0.580
Na6 0.667 0.333 0.920
Se1 0.333 0.667 0.750
Se2 0.667 0.333 0.250
O1 0.092 0.403 0.642
O2 0.092 0.688 0.858
O3 0.312 0.403 0.858
O4 0.312 0.908 0.642
O5 0.403 0.092 0.358
O6 0.403 0.312 0.142
O7 0.597 0.688 0.642
O8 0.597 0.908 0.858
O9 0.688 0.092 0.142
O10 0.688 0.597 0.358
O11 0.908 0.312 0.358
O12 0.908 0.597 0.142

=====

Record 3
Simulated powder diffractogram
Compound: Tb3ErTm
Radiation: Cu Ka
Structure: a cell relaxed with GGA-PBE
No peak broadening, texture or thermal motion is included.

The 10 most intense peaks (10° ≤ 2θ ≤ 90°), most intense first:
2.726 Å, 2θ = 32.85°, intensity 100.0; 2.807 Å, 2θ = 31.88°, intensity 24.0; 3.119 Å, 2θ = 28.62°, intensity 23.9; 1.516 Å, 2θ = 61.15°, intensity 22.6; 1.605 Å, 2θ = 57.43°, intensity 20.5; 1.801 Å, 2θ = 50.70°, intensity 19.8; 1.503 Å, 2θ = 61.74°, intensity 16.4; 2.086 Å, 2θ = 43.37°, intensity 15.6; 1.154 Å, 2θ = 83.84°, intensity 10.6; 1.107 Å, 2θ = 88.28°, intensity 8.5

Atomic structure:
Cell: 6.235 6.667 9.136 Å, 72.27 89.98 62.15°
Fractional positions:
Tb1 0.067 0.199 0.050
Tb2 0.267 0.800 0.450
Tb3 0.333 0.000 0.750
Tb4 0.667 0.000 0.250
Tb5 0.733 0.200 0.550
Tb6 0.933 0.801 0.950
Er1 0.133 0.401 0.349
Er2 0.867 0.599 0.651
Tm1 0.465 0.401 0.850
Tm2 0.535 0.599 0.150

=====

Record 4
Simulated powder diffractogram
Compound: Pr2Ga2Cu3
Radiation: Cu Ka
Structure: a cell relaxed with GGA-PBE
No peak broadening, texture or thermal motion is included.

The 10 most intense peaks (10° ≤ 2θ ≤ 90°), most intense first:
2.977 Å, 2θ = 30.02°, intensity 100.0; 2.105 Å, 2θ = 42.97°, intensity 50.2; 2.250 Å, 2θ = 40.07°, intensity 44.9; 2.430 Å, 2θ = 36.99°, intensity 37.3; 1.719 Å, 2θ = 53.31°, intensity 34.4; 1.488 Å, 2θ = 62.39°, intensity 22.6; 1.366 Å, 2θ = 68.73°, intensity 19.0; 2.662 Å, 2θ = 33.66°, intensity 15.3; 3.437 Å, 2θ = 25.92°, intensity 15.0; 1.146 Å, 2θ = 84.58°, intensity 13.4

Atomic structure:
Cell: 7.291 7.291 7.291 Å, 109.47 109.47 109.47°
Fractional positions:
Pr1 0.000 0.965 0.500
Pr2 0.500 0.000 0.965
Pr3 0.535 0.535 0.535
Pr4 0.965 0.500 0.000
Ga1 0.000 0.559 0.500
Ga2 0.500 0.000 0.559
Ga3 0.559 0.500 0.000
Ga4 0.941 0.941 0.941
Cu1 0.042 0.250 0.292
Cu2 0.208 0.458 0.750
Cu3 0.250 0.292 0.042
Cu4 0.292 0.042 0.250
Cu5 0.458 0.750 0.208
Cu6 0.750 0.208 0.458